For Pr2BiIr, a GGA-PBE-relaxed structure gives the calculated powder X-ray diffraction pattern in this record (a wavelength of 1.5418 Å).

Structural model:
Unit cell a=7.733 b=7.733 c=7.733 alpha=32.93 beta=32.93 gamma=32.93
Sites, in units of the cell vectors:
Pr1 0.237 0.237 0.237
Pr2 0.763 0.763 0.763
Bi1 0.000 0.000 0.000
Ir1 0.500 0.500 0.500

Main lines, in order of falling intensity (10° ≤ 2θ ≤ 90°):
d (Å)	I (rel.)
3.120	100
2.192	40
2.222	35
1.793	21
1.388	18
1.403	13
1.271	12
1.560	12
1.265	7
1.827	5